Diffraction record for Hf3ScMo. The PXRD pattern is computed, not measured: it uses a DFT-relaxed cell (PBE, Alexandria) and Cu Kα.
No peak broadening, texture or thermal motion is included.

Atomic structure:
Unit cell a=5.033 b=5.033 c=5.033 alpha=90.00 beta=90.00 gamma=90.00
Positions (direct):
Hf (0.000, 0.000, 0.500)
Hf (0.000, 0.500, 0.000)
Hf (0.500, 0.000, 0.000)
Sc (0.500, 0.500, 0.500)
Mo (0.000, 0.000, 0.000)

Most intense lines, 15° ≤ 2θ ≤ 90°, low angle first:
two_theta  Rel. int.  (hkl)
17.62  66  1 0 0
30.77  99  1 1 1
35.68  100  2 0 0
40.06  34  2 1 0
51.35  71  2 2 0
54.72  17  3 0 0
61.07  43  3 1 1
64.10  24  2 2 2
83.78  18  3 3 1
86.48  33  4 2 0

---

Diffraction record for LiIn2Si. The PXRD pattern is computed, not measured: it uses a DFT-relaxed cell (PBE, Alexandria) and Cu Kα.
No peak broadening, texture or thermal motion is included.

Atomic structure:
Unit cell a=9.023 b=3.700 c=5.335 alpha=90.00 beta=104.38 gamma=90.00
Positions (direct):
Li (0.000, 0.000, 0.000)
Li (0.500, 0.500, 0.000)
In (0.240, 0.000, 0.745)
In (0.260, 0.500, 0.255)
In (0.740, 0.500, 0.745)
In (0.760, 0.000, 0.255)
Si (0.000, 0.500, 0.500)
Si (0.500, 0.000, 0.500)

Most intense lines, 15° ≤ 2θ ≤ 90°, low angle first:
two_theta  Rel. int.  (hkl)
20.32  90  2 0 0
29.98  71  1 1 -1
32.86  100  1 1 1
34.72  24  0 0 2
35.71  40  2 0 -2
39.84  57  3 1 -1
41.32  25  4 0 0
44.97  20  2 0 2
46.42  20  3 1 1
57.57  19  1 1 -3

---

Diffraction record for PmGeHRh. The PXRD pattern is computed, not measured: it uses a DFT-relaxed cell (PBE, Alexandria) and Cu Kα.
No peak broadening, texture or thermal motion is included.

Atomic structure:
Unit cell a=4.118 b=4.118 c=7.578 alpha=90.00 beta=90.00 gamma=90.00
Positions (direct):
Pm (0.250, 0.250, 0.160)
Pm (0.750, 0.750, 0.840)
Ge (0.250, 0.250, 0.683)
Ge (0.750, 0.750, 0.317)
H (0.250, 0.750, 0.000)
H (0.750, 0.250, 0.000)
Rh (0.250, 0.750, 0.500)
Rh (0.750, 0.250, 0.500)

Most intense lines, 15° ≤ 2θ ≤ 90°, low angle first:
two_theta  Rel. int.  (hkl)
30.70  21  1 1 0
32.10  100  1 0 2
32.95  61  1 1 1
39.01  80  1 1 2
43.97  63  2 0 0
53.22  24  1 0 4
55.47  42  2 1 2
58.09  22  1 1 4
63.94  20  2 2 0
77.50  21  3 1 2

---

Diffraction record for Li2PuCd2. The PXRD pattern is computed, not measured: it uses a DFT-relaxed cell (PBE, Alexandria) and Cu Kα.
No peak broadening, texture or thermal motion is included.

Atomic structure:
Unit cell a=4.042 b=4.042 c=14.275 alpha=90.00 beta=90.00 gamma=90.00
Positions (direct):
Li (0.000, 0.500, 0.250)
Li (0.000, 0.500, 0.750)
Li (0.500, 0.000, 0.250)
Li (0.500, 0.000, 0.750)
Pu (0.000, 0.000, 0.000)
Pu (0.500, 0.500, 0.500)
Cd (0.000, 0.000, 0.389)
Cd (0.000, 0.000, 0.611)
Cd (0.500, 0.500, 0.111)
Cd (0.500, 0.500, 0.889)

Most intense lines, 15° ≤ 2θ ≤ 90°, low angle first:
two_theta  Rel. int.  (hkl)
28.98  100  1 0 3
31.30  70  1 1 0
33.78  45  1 1 2
38.61  79  1 0 5
44.85  29  2 0 0
46.71  16  2 0 2
54.29  35  2 1 3
60.63  42  2 1 5
61.24  16  1 1 8
74.22  22  3 1 0